Starting from a crystal structure in Alexandria, relaxed with GGA-PBE, the powder diffraction line list of K2LiS2O4F2 was calculated for Cu Kα (λ = 1.5418 Å).
Lines closer than 0.1° are merged.

Structural model:
abc: 5.068 5.454 7.684
angles: 85.99 70.99 87.42
Sites, in units of the cell vectors:
K 0.000 0.000 0.000
K 0.460 0.497 0.133
Li 0.093 0.533 0.719
S 0.040 0.966 0.440
S 0.588 0.214 0.654
O 0.122 0.867 0.601
O 0.437 0.367 0.545
O 0.750 0.362 0.738
O 0.930 0.777 0.356
F 0.064 0.508 0.962
F 0.449 0.999 0.126

Main lines, low angle first (15 to 90 degrees two-theta):
2θ/deg  I_rel
20.98  33
24.50  100
25.06  31
25.57  39
30.16  40
30.42  25
32.94  22
34.54  27
35.54  59
37.57  32

=====

Starting from a crystal structure in Alexandria, relaxed with GGA-PBE, the powder diffraction line list of Tb12InRu6 was calculated for Cu Kα (λ = 1.5418 Å).
Lines closer than 0.1° are merged.

Structural model:
abc: 8.553 8.553 8.553
angles: 109.47 109.47 109.47
Sites, in units of the cell vectors:
Tb 0.101 0.296 0.805
Tb 0.195 0.491 0.296
Tb 0.195 0.899 0.704
Tb 0.296 0.195 0.491
Tb 0.296 0.805 0.101
Tb 0.491 0.296 0.195
Tb 0.509 0.704 0.805
Tb 0.704 0.195 0.899
Tb 0.704 0.805 0.509
Tb 0.805 0.101 0.296
Tb 0.805 0.509 0.704
Tb 0.899 0.704 0.195
In 0.000 0.000 0.000
Ru 0.124 0.500 0.624
Ru 0.376 0.876 0.500
Ru 0.500 0.376 0.876
Ru 0.500 0.624 0.124
Ru 0.624 0.124 0.500
Ru 0.876 0.500 0.376

Main lines, low angle first (15 to 90 degrees two-theta):
2θ/deg  I_rel
28.58  16
31.38  45
33.97  100
36.39  22
46.91  24
54.15  25
55.86  13
57.53  31
67.01  20
84.37  17

=====

Starting from a crystal structure in Alexandria, relaxed with GGA-PBE, the powder diffraction line list of KTlRhPb was calculated for Cu Kα (λ = 1.5418 Å).
Lines closer than 0.1° are merged.

Structural model:
abc: 6.439 6.439 4.535
angles: 110.55 110.55 47.88
Sites, in units of the cell vectors:
K 0.000 0.000 0.000
Tl 0.330 0.330 0.330
Rh 0.769 0.769 0.269
Pb 0.648 0.648 0.648

Main lines, low angle first (15 to 90 degrees two-theta):
2θ/deg  I_rel
16.31  49
18.84  49
21.23  52
26.01  74
30.01  71
31.61  100
34.32  48
42.47  35
47.35  65
57.56  34

=====

Starting from a crystal structure in Alexandria, relaxed with GGA-PBE, the powder diffraction line list of TbTl3Hg12 was calculated for Cu Kα (λ = 1.5418 Å).
Lines closer than 0.1° are merged.

Structural model:
abc: 4.349 4.821 20.730
angles: 90.00 90.00 90.00
Sites, in units of the cell vectors:
Tb 0.000 0.000 0.000
Tl 0.000 0.000 0.241
Tl 0.000 0.000 0.500
Tl 0.000 0.000 0.759
Hg 0.000 0.500 0.114
Hg 0.000 0.500 0.369
Hg 0.000 0.500 0.631
Hg 0.000 0.500 0.886
Hg 0.500 0.000 0.114
Hg 0.500 0.000 0.368
Hg 0.500 0.000 0.632
Hg 0.500 0.000 0.886
Hg 0.500 0.500 0.000
Hg 0.500 0.500 0.239
Hg 0.500 0.500 0.500
Hg 0.500 0.500 0.761

Main lines, low angle first (15 to 90 degrees two-theta):
2θ/deg  I_rel
32.67  100
34.62  19
37.30  18
41.53  14
51.80  12
55.14  11
57.04  11
60.81  12
64.36  15
70.18  11

=====

Starting from a crystal structure in Alexandria, relaxed with GGA-PBE, the powder diffraction line list of TbScPt2 was calculated for Cu Kα (λ = 1.5418 Å).
Lines closer than 0.1° are merged.

Structural model:
abc: 5.770 4.550 6.617
angles: 90.00 111.45 90.00
Sites, in units of the cell vectors:
Tb 0.173 0.250 0.390
Tb 0.827 0.750 0.610
Sc 0.369 0.750 0.107
Sc 0.631 0.250 0.893
Pt 0.114 0.250 0.893
Pt 0.363 0.750 0.702
Pt 0.637 0.250 0.298
Pt 0.886 0.750 0.107

Main lines, low angle first (15 to 90 degrees two-theta):
2θ/deg  I_rel
24.32  19
25.68  21
26.32  19
34.04  35
35.19  100
35.42  41
38.94  96
39.61  51
54.18  24
69.04  17

=====

Starting from a crystal structure in Alexandria, relaxed with GGA-PBE, the powder diffraction line list of Zr7ZnIn3 was calculated for Cu Kα (λ = 1.5418 Å).
Lines closer than 0.1° are merged.

Structural model:
abc: 3.108 13.387 12.148
angles: 90.00 96.88 90.00
Sites, in units of the cell vectors:
Zr 0.060 0.094 0.084
Zr 0.060 0.406 0.084
Zr 0.077 0.626 0.168
Zr 0.077 0.874 0.168
Zr 0.155 0.250 0.296
Zr 0.230 0.594 0.462
Zr 0.230 0.906 0.462
Zr 0.770 0.094 0.538
Zr 0.770 0.406 0.538
Zr 0.845 0.750 0.704
Zr 0.923 0.126 0.832
Zr 0.923 0.374 0.832
Zr 0.940 0.594 0.916
Zr 0.940 0.906 0.916
Zn 0.491 0.750 0.011
Zn 0.509 0.250 0.989
In 0.336 0.250 0.664
In 0.348 0.546 0.703
In 0.348 0.954 0.703
In 0.652 0.046 0.297
In 0.652 0.454 0.297
In 0.664 0.750 0.336

Main lines, low angle first (15 to 90 degrees two-theta):
2θ/deg  I_rel
30.39  28
34.31  22
34.88  79
35.39  100
35.95  67
38.86  28
39.19  23
39.76  74
40.44  33
59.48  23

=====

Starting from a crystal structure in Alexandria, relaxed with GGA-PBE, the powder diffraction line list of CsH3PbF6 was calculated for Cu Kα (λ = 1.5418 Å).
Lines closer than 0.1° are merged.

Structural model:
abc: 5.725 5.725 5.725
angles: 94.85 94.85 94.85
Sites, in units of the cell vectors:
Cs 0.000 0.000 0.000
H 0.000 0.500 0.500
H 0.500 0.000 0.500
H 0.500 0.500 0.000
Pb 0.500 0.500 0.500
F 0.091 0.334 0.537
F 0.334 0.537 0.091
F 0.463 0.909 0.666
F 0.537 0.091 0.334
F 0.666 0.463 0.909
F 0.909 0.666 0.463

Main lines, low angle first (15 to 90 degrees two-theta):
2θ/deg  I_rel
15.60  21
21.07  100
23.15  74
31.50  55
36.93  29
38.21  62
41.85  19
49.31  24
52.33  23
57.87  22

=====

Starting from a crystal structure in Alexandria, relaxed with GGA-PBE, the powder diffraction line list of Ni4Hg was calculated for Cu Kα (λ = 1.5418 Å).
Lines closer than 0.1° are merged.

Structural model:
abc: 6.199 6.199 6.199
angles: 147.46 147.46 46.68
Sites, in units of the cell vectors:
Ni 0.105 0.105 0.000
Ni 0.250 0.750 0.500
Ni 0.750 0.250 0.500
Ni 0.895 0.895 0.000
Hg 0.500 0.500 0.000

Main lines, low angle first (15 to 90 degrees two-theta):
2θ/deg  I_rel
15.57  18
26.84  19
31.43  17
35.02  69
36.59  19
39.98  100
47.77  49
52.71  35
64.87  23
73.86  26

=====

Starting from a crystal structure in Alexandria, relaxed with GGA-PBE, the powder diffraction line list of Ba2In7Cu was calculated for Cu Kα (λ = 1.5418 Å).
Lines closer than 0.1° are merged.

Structural model:
abc: 4.933 4.933 12.167
angles: 90.00 90.00 90.00
Sites, in units of the cell vectors:
Ba 0.000 0.500 0.240
Ba 0.500 0.000 0.760
In 0.000 0.000 0.000
In 0.000 0.000 0.500
In 0.000 0.500 0.642
In 0.000 0.500 0.880
In 0.500 0.000 0.120
In 0.500 0.000 0.358
In 0.500 0.500 0.500
Cu 0.500 0.500 0.000

Main lines, low angle first (15 to 90 degrees two-theta):
2θ/deg  I_rel
28.49  63
29.52  100
36.43  73
39.30  33
41.38  29
46.89  32
52.47  25
56.29  23
61.35  25
73.10  15

=====

Starting from a crystal structure in Alexandria, relaxed with GGA-PBE, the powder diffraction line list of Tm4SbRu was calculated for Cu Kα (λ = 1.5418 Å).
Lines closer than 0.1° are merged.

Structural model:
abc: 7.923 4.136 18.695
angles: 90.00 90.00 90.00
Sites, in units of the cell vectors:
Tm 0.002 0.250 0.066
Tm 0.054 0.250 0.788
Tm 0.129 0.250 0.357
Tm 0.144 0.250 0.548
Tm 0.356 0.750 0.048
Tm 0.371 0.750 0.857
Tm 0.446 0.750 0.288
Tm 0.498 0.750 0.566
Tm 0.502 0.250 0.434
Tm 0.554 0.250 0.712
Tm 0.629 0.250 0.143
Tm 0.644 0.250 0.952
Tm 0.856 0.750 0.452
Tm 0.871 0.750 0.643
Tm 0.946 0.750 0.212
Tm 0.998 0.750 0.934
Sb 0.250 0.250 0.192
Sb 0.250 0.750 0.692
Sb 0.750 0.250 0.308
Sb 0.750 0.750 0.808
Ru 0.246 0.250 0.944
Ru 0.254 0.750 0.444
Ru 0.746 0.250 0.556
Ru 0.754 0.750 0.056

Main lines, low angle first (15 to 90 degrees two-theta):
2θ/deg  I_rel
31.00  100
31.27  50
32.28  32
32.94  29
34.28  41
34.50  72
35.47  26
39.18  29
39.67  20
43.78  40

=====

Starting from a crystal structure in Alexandria, relaxed with GGA-PBE, the powder diffraction line list of DyYAlGa was calculated for Cu Kα (λ = 1.5418 Å).
Lines closer than 0.1° are merged.

Structural model:
abc: 4.072 5.936 5.936
angles: 43.56 90.00 90.00
Sites, in units of the cell vectors:
Dy 0.000 0.000 0.000
Y 0.500 0.281 0.281
Al 0.500 0.569 0.569
Ga 0.000 0.719 0.719

Main lines, low angle first (15 to 90 degrees two-theta):
2θ/deg  I_rel
21.73  22
27.23  32
30.99  100
31.71  50
32.48  29
38.83  49
39.48  19
40.98  25
44.50  20
55.67  20

=====

Starting from a crystal structure in Alexandria, relaxed with GGA-PBE, the powder diffraction line list of La5NdDy2Y was calculated for Cu Kα (λ = 1.5418 Å).
Lines closer than 0.1° are merged.

Structural model:
abc: 11.272 11.272 10.678
angles: 90.00 90.00 151.61
Sites, in units of the cell vectors:
La 0.000 0.000 0.000
La 0.000 0.000 0.500
La 0.122 0.878 0.750
La 0.221 0.779 0.441
La 0.222 0.778 0.060
La 0.500 0.500 0.250
La 0.500 0.500 0.750
La 0.778 0.222 0.560
La 0.779 0.221 0.941
La 0.878 0.122 0.250
Nd 0.286 0.714 0.751
Nd 0.714 0.286 0.251
Dy 0.387 0.613 0.501
Dy 0.388 0.612 0.999
Dy 0.612 0.388 0.499
Dy 0.613 0.387 0.001
Y 0.100 0.900 0.250
Y 0.900 0.100 0.750

Main lines, low angle first (15 to 90 degrees two-theta):
2θ/deg  I_rel
26.23  19
30.14  17
31.00  100
32.38  39
32.78  10
33.57  18
47.34  14
47.61  9
56.90  18
60.08  11